(1)
Calculated XRD peak list of LiEr4Zr4O14 for CuKα, from the GGA-PBE geometry in Alexandria.

Crystal structure
```
23
Lattice="3.5109 0.0000 0.0000 0.0000 7.6382 0.0000 0.0000 0.0000 11.2108" Properties=species:S:1:pos:R:3 pbc="T T T"
Li 0.0000 0.0000 0.0000
Er 0.0000 0.0000 3.3600
Er 0.0000 3.8191 9.3372
Er 1.7554 1.9669 6.1067
Er 1.7554 5.6713 6.1067
Zr 0.0000 0.0000 8.4221
Zr 0.0000 3.8191 3.4069
Zr 1.7554 2.0907 0.7805
Zr 1.7554 5.5475 0.7805
O 0.0000 1.6107 4.8748
O 0.0000 1.8643 10.8308
O 0.0000 2.0094 2.2638
O 0.0000 2.1449 7.7832
O 0.0000 5.4933 7.7832
O 0.0000 5.6288 2.2638
O 0.0000 5.7740 10.8308
O 0.0000 6.0276 4.8748
O 1.7554 0.0000 1.1710
O 1.7554 0.0000 6.9304
O 1.7554 0.0000 9.5032
O 1.7554 3.8191 2.0015
O 1.7554 3.8191 4.6935
O 1.7554 3.8191 10.5567
```

Principal peaks in the range 10° ≤ 2θ ≤ 90°, sorted by position:
Position (°2θ)	I/Imax	index
28.3	100	0 2 2
30.0	91	1 0 2
34.7	39	1 2 0
47.9	51	1 2 4
57.3	27	1 4 2
60.3	23	2 2 2

---

(2)
Calculated XRD peak list of Tm2Be4GaPt3 for CuKα, from the GGA-PBE geometry in Alexandria.

Crystal structure
```
10
Lattice="3.9361 0.0000 0.0000 0.0000 3.9361 0.0000 0.0000 0.0000 9.7633" Properties=species:S:1:pos:R:3 pbc="T T T"
Tm 0.0000 1.9680 2.4234
Tm 1.9680 0.0000 7.3399
Be 0.0000 0.0000 0.0000
Be 0.0000 1.9680 6.2215
Be 1.9680 0.0000 3.5417
Be 1.9680 1.9680 0.0000
Ga 0.0000 0.0000 4.8816
Pt 0.0000 1.9680 8.5454
Pt 1.9680 0.0000 1.2179
Pt 1.9680 1.9680 4.8816
```

Principal peaks in the range 10° ≤ 2θ ≤ 90°, sorted by position:
Position (°2θ)	I/Imax	index
29.1	63	1 0 2
33.5	83	1 1 1
35.8	100	1 0 3
37.2	87	1 1 2
46.1	64	2 0 0
59.7	46	2 1 3